This entry pairs a crystal structure of Nd4Y3Tm3 with its simulated PXRD pattern. Radiation: copper Kα. Structure: a DFT-relaxed cell (GGA-PBE, Alexandria).

abc: 3.806 9.311 9.311
angles: 90.04 90.00 90.00
Element x y z (fractional)
Nd 0.000 0.000 0.000
Nd 0.000 0.261 0.261
Nd 0.000 0.496 0.760
Nd 0.000 0.760 0.496
Y 0.000 0.130 0.629
Y 0.000 0.629 0.130
Y 0.500 0.798 0.798
Tm 0.500 0.298 0.962
Tm 0.500 0.461 0.461
Tm 0.500 0.962 0.298

Peak list (12 most intense, 2θ from 5° to 70°, in order of falling intensity)
- 31.85°, d 2.809, rel. 100
- 30.35°, d 2.945, rel. 62
- 58.65°, d 1.574, rel. 19
- 57.68°, d 1.598, rel. 16
- 55.84°, d 1.646, rel. 15
- 13.45°, d 6.583, rel. 15
- 47.80°, d 1.903, rel. 14
- 46.77°, d 1.942, rel. 12
- 38.68°, d 2.328, rel. 12
- 41.13°, d 2.195, rel. 10
- 42.29°, d 2.137, rel. 8
- 34.74°, d 2.582, rel. 8

=====

This entry pairs a crystal structure of Tc3C2 with its simulated PXRD pattern. Radiation: copper Kα. Structure: a DFT-relaxed cell (GGA-PBE, Alexandria).

abc: 7.043 7.043 7.043
angles: 25.79 25.79 25.79
Element x y z (fractional)
Tc 0.000 0.000 0.000
Tc 0.226 0.226 0.226
Tc 0.774 0.774 0.774
C 0.397 0.397 0.397
C 0.603 0.603 0.603

Peak list (12 most intense, 2θ from 5° to 70°, in order of falling intensity)
- 39.78°, d 2.266, rel. 100
- 37.44°, d 2.402, rel. 81
- 58.74°, d 1.572, rel. 34
- 33.20°, d 2.699, rel. 23
- 48.92°, d 1.862, rel. 20
- 69.04°, d 1.360, rel. 18
- 34.08°, d 2.631, rel. 12
- 60.36°, d 1.533, rel. 4
- 56.33°, d 1.633, rel. 4
- 45.58°, d 1.990, rel. 4
- 13.01°, d 6.805, rel. 3
- 69.16°, d 1.358, rel. 3

=====

This entry pairs a crystal structure of Cs4Cd5As6 with its simulated PXRD pattern. Radiation: copper Kα. Structure: a DFT-relaxed cell (GGA-PBE, Alexandria).

abc: 10.844 10.844 20.169
angles: 90.00 90.00 155.02
Element x y z (fractional)
Cs 0.013 0.987 0.625
Cs 0.013 0.987 0.875
Cs 0.191 0.809 0.571
Cs 0.191 0.809 0.929
Cs 0.809 0.191 0.071
Cs 0.809 0.191 0.429
Cs 0.987 0.013 0.125
Cs 0.987 0.013 0.375
Cd 0.116 0.884 0.250
Cd 0.262 0.738 0.250
Cd 0.376 0.624 0.628
Cd 0.376 0.624 0.872
Cd 0.414 0.586 0.250
Cd 0.586 0.414 0.750
Cd 0.624 0.376 0.128
Cd 0.624 0.376 0.372
Cd 0.738 0.262 0.750
Cd 0.884 0.116 0.750
As 0.154 0.846 0.750
As 0.190 0.810 0.133
As 0.190 0.810 0.367
As 0.445 0.555 0.504
As 0.445 0.555 0.996
As 0.455 0.545 0.750
As 0.545 0.455 0.250
As 0.555 0.445 0.004
As 0.555 0.445 0.496
As 0.810 0.190 0.633
As 0.810 0.190 0.867
As 0.846 0.154 0.250

Peak list (12 most intense, 2θ from 5° to 70°, in order of falling intensity)
- 23.53°, d 3.780, rel. 100
- 28.39°, d 3.143, rel. 70
- 38.38°, d 2.345, rel. 64
- 33.60°, d 2.667, rel. 55
- 35.61°, d 2.521, rel. 50
- 28.91°, d 3.088, rel. 47
- 26.30°, d 3.389, rel. 41
- 42.01°, d 2.151, rel. 40
- 27.81°, d 3.207, rel. 38
- 8.77°, d 10.085, rel. 35
- 30.93°, d 2.891, rel. 34
- 53.35°, d 1.717, rel. 20

=====

This entry pairs a crystal structure of Li3GdO3 with its simulated PXRD pattern. Radiation: copper Kα. Structure: a DFT-relaxed cell (GGA-PBE, Alexandria).

abc: 5.892 5.892 10.813
angles: 90.00 90.00 120.00
Element x y z (fractional)
Li 0.055 0.368 0.063
Li 0.055 0.687 0.437
Li 0.313 0.368 0.437
Li 0.313 0.945 0.063
Li 0.368 0.055 0.563
Li 0.368 0.313 0.937
Li 0.632 0.687 0.063
Li 0.632 0.945 0.437
Li 0.687 0.055 0.937
Li 0.687 0.632 0.563
Li 0.945 0.313 0.563
Li 0.945 0.632 0.937
Gd 0.000 0.000 0.250
Gd 0.000 0.000 0.750
Gd 0.333 0.667 0.750
Gd 0.667 0.333 0.250
O 0.039 0.336 0.880
O 0.039 0.703 0.620
O 0.297 0.336 0.620
O 0.297 0.961 0.880
O 0.336 0.039 0.380
O 0.336 0.297 0.120
O 0.664 0.703 0.880
O 0.664 0.961 0.620
O 0.703 0.039 0.120
O 0.703 0.664 0.380
O 0.961 0.297 0.380
O 0.961 0.664 0.120

Peak list (12 most intense, 2θ from 5° to 70°, in order of falling intensity)
- 34.68°, d 2.587, rel. 100
- 19.23°, d 4.614, rel. 80
- 16.40°, d 5.406, rel. 74
- 30.35°, d 2.945, rel. 62
- 45.55°, d 1.992, rel. 60
- 53.91°, d 1.701, rel. 32
- 56.74°, d 1.622, rel. 19
- 60.20°, d 1.537, rel. 17
- 17.38°, d 5.102, rel. 17
- 64.76°, d 1.439, rel. 15
- 65.70°, d 1.421, rel. 15
- 23.98°, d 3.711, rel. 14